Starting from DFT lattice parameters and positions (GGA-PBE), the powder diffraction line list of CeSe2 was calculated for Cu Kα X-rays.

Principal peaks in the range 15 to 90 degrees two-theta, by intensity:
5.112 Å, rel. 100
2.475 Å, rel. 42
2.750 Å, rel. 39
2.422 Å, rel. 32
3.464 Å, rel. 24
1.840 Å, rel. 21

Structure:
Cell: 5.5004 5.5004 13.8579 Å, 90.00 90.00 90.00°
Atoms (fractional coordinates):
Ce: 0.2146 0.2146 0.0000
Ce: 0.2854 0.7146 0.2500
Ce: 0.7146 0.2854 0.7500
Ce: 0.7854 0.7854 0.5000
Se: 0.1612 0.7135 0.0498
Se: 0.2135 0.3388 0.7998
Se: 0.2865 0.8388 0.4502
Se: 0.3388 0.2135 0.2002
Se: 0.6612 0.7865 0.7002
Se: 0.7135 0.1612 0.9502
Se: 0.7865 0.6612 0.2998
Se: 0.8388 0.2865 0.5498

=====

Starting from DFT lattice parameters and positions (GGA-PBE), the powder diffraction line list of SrCa5N4 was calculated for Cu Kα X-rays.

Principal peaks in the range 15 to 90 degrees two-theta, by intensity:
3.033 Å, rel. 100
2.074 Å, rel. 81
2.621 Å, rel. 77
2.891 Å, rel. 46
2.977 Å, rel. 39
1.551 Å, rel. 28

Structure:
Cell: 7.6986 8.7572 5.9539 Å, 90.00 90.00 90.00°
Atoms (fractional coordinates):
Sr: 0.2500 0.2500 0.2276
Sr: 0.7500 0.7500 0.7724
Ca: 0.0009 0.5620 0.2466
Ca: 0.0009 0.9380 0.2466
Ca: 0.2500 0.7500 0.7576
Ca: 0.4991 0.5620 0.2466
Ca: 0.4991 0.9380 0.2466
Ca: 0.5009 0.0620 0.7534
Ca: 0.5009 0.4380 0.7534
Ca: 0.7500 0.2500 0.2424
Ca: 0.9991 0.0620 0.7534
Ca: 0.9991 0.4380 0.7534
N: 0.0051 0.7500 0.5250
N: 0.2500 0.5072 0.9907
N: 0.2500 0.9928 0.9907
N: 0.4949 0.7500 0.5250
N: 0.5051 0.2500 0.4750
N: 0.7500 0.0072 0.0093
N: 0.7500 0.4928 0.0093
N: 0.9949 0.2500 0.4750

=====

Starting from DFT lattice parameters and positions (GGA-PBE), the powder diffraction line list of CaP4Br12O4 was calculated for Cu Kα X-rays.

Principal peaks in the range 15 to 90 degrees two-theta, by intensity:
5.222 Å, rel. 100
3.238 Å, rel. 85
5.838 Å, rel. 42
4.063 Å, rel. 42
4.334 Å, rel. 40
1.945 Å, rel. 39

Structure:
Cell: 5.8720 11.6764 11.7215 Å, 89.74 84.75 89.98°
Atoms (fractional coordinates):
Ca: 0.0000 0.0000 0.0000
P: 0.0473 0.0003 0.3150
P: 0.3756 0.9980 0.7338
P: 0.4915 0.4980 0.1704
P: 0.8153 0.4994 0.6719
Br: 0.0483 0.4988 0.5139
Br: 0.1094 0.1554 0.8128
Br: 0.1094 0.8417 0.8168
Br: 0.2461 0.8472 0.3456
Br: 0.2469 0.1526 0.3462
Br: 0.3097 0.5003 0.0154
Br: 0.5090 0.0007 0.0263
Br: 0.5911 0.3503 0.6541
Br: 0.5929 0.6490 0.6522
Br: 0.7183 0.6486 0.1532
Br: 0.7210 0.3489 0.1495
Br: 0.7638 0.9995 0.4475
O: 0.3440 0.4959 0.2793
O: 0.3580 0.9970 0.6080
O: 0.9269 0.4994 0.7796
O: 0.9734 0.0011 0.1964

=====

Starting from DFT lattice parameters and positions (GGA-PBE), the powder diffraction line list of Sr2ZnSb2 was calculated for Cu Kα X-rays.

Principal peaks in the range 15 to 90 degrees two-theta, by intensity:
2.985 Å, rel. 100
2.348 Å, rel. 60
3.691 Å, rel. 47
1.604 Å, rel. 26
1.845 Å, rel. 24
1.451 Å, rel. 22

Structure:
Cell: 4.6953 4.6953 8.7914 Å, 90.00 90.00 120.00°
Atoms (fractional coordinates):
Sr: 0.0000 0.0000 0.2123
Sr: 0.0000 0.0000 0.7877
Zn: 0.3333 0.6667 0.5000
Sb: 0.3333 0.6667 0.0000
Sb: 0.6667 0.3333 0.5000

=====

Starting from DFT lattice parameters and positions (GGA-PBE), the powder diffraction line list of Zn2FeN2 was calculated for Cu Kα X-rays.

Principal peaks in the range 15 to 90 degrees two-theta, by intensity:
2.447 Å, rel. 100
2.757 Å, rel. 76
2.381 Å, rel. 48
2.982 Å, rel. 43
1.869 Å, rel. 40
2.371 Å, rel. 38

Structure:
Cell: 5.9013 5.9013 7.2038 Å, 122.13 122.13 36.93°
Atoms (fractional coordinates):
Zn: 0.0553 0.0553 0.3373
Zn: 0.3116 0.3116 0.2159
Zn: 0.6884 0.6884 0.7841
Zn: 0.9447 0.9447 0.6627
Fe: 0.3720 0.3720 0.8727
Fe: 0.6280 0.6280 0.1273
N: 0.1733 0.1733 0.6719
N: 0.4915 0.4915 0.1906
N: 0.5085 0.5085 0.8094
N: 0.8267 0.8267 0.3281

=====

Starting from DFT lattice parameters and positions (GGA-PBE), the powder diffraction line list of Lu2TeO6 was calculated for Cu Kα X-rays.

Principal peaks in the range 15 to 90 degrees two-theta, by intensity:
3.214 Å, rel. 100
3.323 Å, rel. 99
2.653 Å, rel. 59
3.400 Å, rel. 54
2.601 Å, rel. 38
2.865 Å, rel. 37

Structure:
Cell: 5.2025 8.9843 9.8524 Å, 90.00 90.00 90.00°
Atoms (fractional coordinates):
Lu: 0.0213 0.1033 0.4596
Lu: 0.0383 0.2173 0.8649
Lu: 0.4617 0.7827 0.3649
Lu: 0.4787 0.8967 0.9596
Lu: 0.5213 0.3967 0.5404
Lu: 0.5383 0.2827 0.1351
Lu: 0.9617 0.7173 0.6351
Lu: 0.9787 0.6033 0.0404
Te: 0.0388 0.4941 0.3533
Te: 0.4612 0.5059 0.8533
Te: 0.5388 0.0059 0.6467
Te: 0.9612 0.9941 0.1467
O: 0.0898 0.8414 0.0261
O: 0.1752 0.6432 0.8221
O: 0.1753 0.9514 0.3002
O: 0.1903 0.6430 0.2383
O: 0.2352 0.1161 0.0650
O: 0.2472 0.5848 0.4988
O: 0.2528 0.4152 0.9988
O: 0.2648 0.8839 0.5650
O: 0.3097 0.3570 0.7383
O: 0.3247 0.0486 0.8002
O: 0.3248 0.3568 0.3221
O: 0.4102 0.1586 0.5261
O: 0.5898 0.6586 0.9739
O: 0.6753 0.5486 0.6998
O: 0.6752 0.8568 0.1779
O: 0.6903 0.8570 0.7617
O: 0.7352 0.3839 0.9350
O: 0.7472 0.9152 0.5012
O: 0.7528 0.0848 0.0012
O: 0.7648 0.6161 0.4350
O: 0.8097 0.1430 0.2617
O: 0.8248 0.1432 0.6779
O: 0.8247 0.4514 0.1998
O: 0.9102 0.3414 0.4739